# 1
The following is a calculated powder diffraction line list of Ac2Cd6Au3. It was derived from DFT lattice parameters and positions (PBE), using Cu Ka.
Neutral-atom scattering factors, no anomalous dispersion.

Unit cell a=8.5734 b=8.5734 c=4.4317 alpha=90.00 beta=90.00 gamma=120.00
Positions (direct):
Ac: 0.3333 0.6667 0.0000
Ac: 0.6667 0.3333 0.0000
Cd: 0.0000 0.1967 0.0000
Cd: 0.0000 0.7248 0.5000
Cd: 0.1967 0.0000 0.0000
Cd: 0.2752 0.2752 0.5000
Cd: 0.7248 0.0000 0.5000
Cd: 0.8033 0.8033 0.0000
Au: 0.0000 0.4012 0.5000
Au: 0.4012 0.0000 0.5000
Au: 0.5988 0.5988 0.5000

Main lines, in order of rising 2θ (2θ from 10° to 90°):
| two_theta | Rel. int. |
| --- | --- |
| 28.98 | 100.0 |
| 31.43 | 30.4 |
| 31.89 | 31.3 |
| 36.30 | 32.2 |
| 37.95 | 75.9 |
| 40.72 | 29.1 |
| 43.97 | 26.7 |
| 52.63 | 15.3 |
| 55.68 | 19.0 |
| 60.88 | 20.7 |
| 61.47 | 19.8 |
| 72.26 | 16.6 |


# 2
The following is a calculated powder diffraction line list of PaPd4Au3. It was derived from DFT lattice parameters and positions (PBE), using Cu Ka.
Neutral-atom scattering factors, no anomalous dispersion.

Unit cell a=5.5506 b=5.5506 c=5.9747 alpha=103.64 beta=103.64 gamma=52.94
Positions (direct):
Pa: 0.0000 0.0000 0.0000
Pd: 0.4196 0.0808 0.8762
Pd: 0.5052 0.4917 0.2459
Pd: 0.5083 0.4948 0.7541
Pd: 0.9192 0.5804 0.1238
Au: 0.0221 0.9779 0.5000
Au: 0.4320 0.0795 0.3750
Au: 0.9205 0.5680 0.6250

Main lines, in order of rising 2θ (2θ from 10° to 90°):
| two_theta | Rel. int. |
| --- | --- |
| 35.11 | 44.4 |
| 36.31 | 21.5 |
| 37.53 | 75.4 |
| 39.40 | 100.0 |
| 40.54 | 93.4 |
| 41.05 | 86.7 |
| 53.23 | 27.8 |
| 64.55 | 31.2 |
| 68.19 | 19.8 |
| 76.38 | 19.1 |
| 76.49 | 23.7 |
| 80.11 | 21.2 |


# 3
The following is a calculated powder diffraction line list of BaNaPdF6. It was derived from DFT lattice parameters and positions (PBE), using Cu Ka.
Neutral-atom scattering factors, no anomalous dispersion.

Unit cell a=5.6157 b=5.6610 c=5.6808 alpha=117.60 beta=90.63 gamma=90.73
Positions (direct):
Ba: 0.0000 0.0000 0.0000
Na: 0.5003 0.3259 0.6757
Pd: 0.5017 0.6664 0.3338
F: 0.2678 0.9750 0.6239
F: 0.3016 0.3742 0.3385
F: 0.3024 0.6552 0.0349
F: 0.7003 0.9680 0.3475
F: 0.7025 0.6593 0.6230
F: 0.7366 0.3801 0.0235

Main lines, in order of rising 2θ (2θ from 10° to 90°):
| two_theta | Rel. int. |
| --- | --- |
| 17.65 | 42.5 |
| 18.29 | 19.5 |
| 23.53 | 100.0 |
| 24.00 | 94.4 |
| 24.25 | 88.3 |
| 30.44 | 23.6 |
| 31.53 | 21.5 |
| 31.64 | 21.7 |
| 44.11 | 25.2 |
| 45.21 | 39.0 |
| 45.69 | 21.3 |
| 45.82 | 20.9 |


# 4
The following is a calculated powder diffraction line list of KHfPdF7. It was derived from DFT lattice parameters and positions (PBE), using Cu Ka.
Neutral-atom scattering factors, no anomalous dispersion.

Unit cell a=11.5465 b=8.0962 c=6.4760 alpha=90.00 beta=90.00 gamma=90.00
Positions (direct):
K: 0.2500 0.0000 0.2307
K: 0.2500 0.5000 0.2693
K: 0.7500 0.0000 0.7693
K: 0.7500 0.5000 0.7307
Hf: 0.0924 0.2500 0.7500
Hf: 0.4076 0.7500 0.7500
Hf: 0.5924 0.2500 0.2500
Hf: 0.9076 0.7500 0.2500
Pd: 0.0988 0.7500 0.7500
Pd: 0.4012 0.2500 0.7500
Pd: 0.5988 0.7500 0.2500
Pd: 0.9012 0.2500 0.2500
F: 0.0469 0.1812 0.4505
F: 0.0469 0.3188 0.0495
F: 0.0806 0.7500 0.2500
F: 0.1049 0.0136 0.8495
F: 0.1049 0.4864 0.6505
F: 0.2441 0.2079 0.5670
F: 0.2441 0.2921 0.9330
F: 0.2559 0.7079 0.9330
F: 0.2559 0.7921 0.5670
F: 0.3951 0.5136 0.6505
F: 0.3951 0.9864 0.8495
F: 0.4194 0.2500 0.2500
F: 0.4531 0.6812 0.0495
F: 0.4531 0.8188 0.4505
F: 0.5469 0.1812 0.5495
F: 0.5469 0.3188 0.9505
F: 0.5806 0.7500 0.7500
F: 0.6049 0.0136 0.1505
F: 0.6049 0.4864 0.3495
F: 0.7441 0.2079 0.4330
F: 0.7441 0.2921 0.0670
F: 0.7559 0.7079 0.0670
F: 0.7559 0.7921 0.4330
F: 0.8951 0.5136 0.3495
F: 0.8951 0.9864 0.1505
F: 0.9194 0.2500 0.7500
F: 0.9531 0.6812 0.9505
F: 0.9531 0.8188 0.5495

Main lines, in order of rising 2θ (2θ from 10° to 90°):
| two_theta | Rel. int. |
| --- | --- |
| 15.69 | 65.7 |
| 19.16 | 18.6 |
| 21.96 | 61.5 |
| 26.94 | 100.0 |
| 27.10 | 60.3 |
| 27.55 | 38.2 |
| 35.03 | 25.8 |
| 35.50 | 19.3 |
| 47.80 | 34.9 |
| 48.34 | 21.8 |
| 53.04 | 28.1 |
| 53.69 | 20.7 |


# 5
The following is a calculated powder diffraction line list of AcSmPbSe. It was derived from DFT lattice parameters and positions (PBE), using Cu Ka.
Neutral-atom scattering factors, no anomalous dispersion.

Unit cell a=4.0911 b=4.0950 c=9.1624 alpha=90.05 beta=102.89 gamma=119.91
Positions (direct):
Ac: 0.0000 0.0000 0.0000
Sm: 0.6160 0.8083 0.4244
Pb: 0.1316 0.5603 0.6993
Se: 0.8198 0.4103 0.2302

Main lines, in order of rising 2θ (2θ from 10° to 90°):
| two_theta | Rel. int. |
| --- | --- |
| 25.34 | 14.3 |
| 26.01 | 32.2 |
| 28.54 | 36.4 |
| 30.30 | 100.0 |
| 34.62 | 40.7 |
| 40.77 | 9.8 |
| 42.53 | 11.1 |
| 44.24 | 43.2 |
| 45.45 | 9.1 |
| 54.56 | 33.6 |
| 61.71 | 26.2 |
| 72.71 | 8.8 |